1.
This entry pairs a crystal structure of Li7ZnGa3 with its computed powder XRD pattern. Radiation: Cu Ka. Structure: DFT lattice parameters and positions (PBE).

Structural model:
```
Li7ZnGa3
1.0
1.345 -10.768 0.000
1.345 10.768 0.000
0.000 0.000 13.102
Li Zn Ga
14 2 6
Direct
0.052 0.948 0.636
0.052 0.948 0.864
0.090 0.910 0.085
0.090 0.910 0.415
0.189 0.811 0.750
0.220 0.780 0.092
0.220 0.780 0.408
0.780 0.220 0.592
0.780 0.220 0.908
0.811 0.189 0.250
0.910 0.090 0.585
0.910 0.090 0.915
0.948 0.052 0.136
0.948 0.052 0.364
0.464 0.536 0.750
0.536 0.464 0.250
0.342 0.658 0.750
0.344 0.656 0.068
0.344 0.656 0.432
0.656 0.344 0.568
0.656 0.344 0.932
0.658 0.342 0.250
```

Top 12 peaks for 2θ = 5–70°, low angle first:
| two_theta | intensity |
| --- | --- |
| 10.63 | 18 |
| 15.83 | 23 |
| 16.46 | 24 |
| 21.96 | 100 |
| 24.81 | 33 |
| 33.57 | 21 |
| 35.64 | 15 |
| 39.32 | 45 |
| 39.56 | 44 |
| 41.35 | 23 |
| 44.78 | 30 |
| 49.62 | 16 |

2.
This entry pairs a crystal structure of Li5Zn2Ga2 with its computed powder XRD pattern. Radiation: Cu Ka. Structure: DFT lattice parameters and positions (PBE).

Structural model:
```
Li5Zn2Ga2
1.0
-7.507 3.621 2.733
7.507 -3.621 2.733
7.507 3.621 -2.733
Li Zn Ga
10 4 4
Direct
0.125 0.084 0.209
0.125 0.416 0.541
0.502 0.160 0.162
0.502 0.840 0.842
0.505 0.501 0.503
0.875 0.584 0.459
0.875 0.916 0.791
0.998 0.001 0.497
0.998 0.340 0.838
0.998 0.660 0.158
0.493 0.664 0.165
0.493 0.828 0.330
0.499 0.164 0.670
0.499 0.328 0.835
0.130 0.751 0.879
0.498 0.498 0.000
0.498 0.998 0.500
0.872 0.251 0.121
```

Top 12 peaks for 2θ = 5–70°, low angle first:
| two_theta | intensity |
| --- | --- |
| 11.79 | 32 |
| 13.57 | 27 |
| 20.36 | 100 |
| 24.58 | 49 |
| 32.77 | 49 |
| 34.70 | 14 |
| 40.86 | 55 |
| 41.39 | 33 |
| 41.61 | 96 |
| 43.99 | 30 |
| 55.92 | 22 |
| 64.58 | 24 |